# Sc4Al16Ir3
Theoretical X-ray powder pattern, Cu Kα X-rays. Input: a crystal structure in Alexandria, relaxed with PBE.

Unit cell a=6.037 b=6.037 c=11.015 alpha=90.00 beta=90.00 gamma=90.00
Atoms (fractional coordinates):
1 Sc 0.000 0.500 0.191
2 Sc 0.000 0.500 0.809
3 Sc 0.500 0.000 0.191
4 Sc 0.500 0.000 0.809
5 Al 0.000 0.000 0.194
6 Al 0.000 0.000 0.806
7 Al 0.217 0.217 0.000
8 Al 0.217 0.783 0.000
9 Al 0.250 0.250 0.377
10 Al 0.250 0.250 0.623
11 Al 0.250 0.750 0.377
12 Al 0.250 0.750 0.623
13 Al 0.500 0.500 0.220
14 Al 0.500 0.500 0.780
15 Al 0.750 0.250 0.377
16 Al 0.750 0.250 0.623
17 Al 0.750 0.750 0.377
18 Al 0.750 0.750 0.623
19 Al 0.783 0.217 0.000
20 Al 0.783 0.783 0.000
21 Ir 0.000 0.500 0.500
22 Ir 0.500 0.000 0.500
23 Ir 0.500 0.500 0.000

Principal peaks in the range 10° ≤ 2θ ≤ 90°, sorted by position:
d [Å]  intensity  hkl
5.507  37  0 0 2
5.294  17  1 0 1
3.980  100  1 1 1
3.018  25  2 0 0
2.784  61  1 1 3
2.332  39  2 0 3
2.134  44  2 2 0
2.034  32  2 0 4
1.881  25  3 1 1
1.694  26  3 1 3